(1)
Ca2La6CoRu: theoretical X-ray diffraction stick pattern (Cu Ka), based on the PBE geometry in Alexandria.
Lines closer than 0.1° are merged.

Main lines, most intense first (2θ from 10° to 90°):
2θ = 31.9°, I 100, (4 0 0); 2θ = 27.6°, I 93, (2 2 2); 2θ = 45.8°, I 72, (4 4 0); 2θ = 15.8°, I 60, (2 0 0); 2θ = 35.8°, I 32, (2 4 0); 2θ = 54.3°, I 28, (2 6 2); 2θ = 56.9°, I 25, (4 4 4); 2θ = 75.9°, I 21, (4 8 0)

Atomic structure:
Cell lengths 11.1901, 11.2208, 11.2159 Å; angles 90.00, 90.00, 90.00 degrees
Space group Fmm2 (No. 42)
Unique sites:
Ca 0.2500 0.2500 0.0000 [8 per cell]
La 0.0000 0.0000 0.0024 [4 per cell]
La 0.0000 0.0000 0.4969 [4 per cell]
La 0.0000 0.2478 0.2498 [8 per cell]
La 0.2468 0.0000 0.2499 [8 per cell]
Co 0.0000 0.0000 0.2499 [4 per cell]
Ru 0.0000 0.0000 0.7490 [4 per cell]


(2)
CaLaTl2Co: theoretical X-ray diffraction stick pattern (Cu Ka), based on the PBE geometry in Alexandria.
Lines closer than 0.1° are merged.

Main lines, most intense first (2θ from 10° to 90°):
2θ = 30.0°, I 100, (1 1 1); 2θ = 33.7°, I 57, (2 0 0); 2θ = 50.8°, I 36, (2 0 2); 2θ = 62.3°, I 32, (2 2 2); 2θ = 57.9°, I 32, (3 1 1); 2θ = 18.2°, I 24, (0 0 1); 2θ = 36.9°, I 22, (0 0 2); 2θ = 48.3°, I 21, (2 2 0)

Atomic structure:
Cell lengths 5.3262, 5.3262, 4.8722 Å; angles 90.00, 90.00, 90.00 degrees
Space group P4/mmm (No. 123)
Unique sites:
Ca 0.0000 0.0000 0.0000 [1 per cell]
La 0.5000 0.5000 0.0000 [1 per cell]
Tl 0.0000 0.5000 0.5000 [2 per cell]
Co 0.5000 0.5000 0.5000 [1 per cell]


(3)
CaMn2Co2: theoretical X-ray diffraction stick pattern (Cu Ka), based on the PBE geometry in Alexandria.
Lines closer than 0.1° are merged.

Main lines, most intense first (2θ from 10° to 90°):
2θ = 36.8°, I 100, (1 1 2); 2θ = 45.4°, I 71, (2 0 0); 2θ = 49.3°, I 57, (1 1 4); 2θ = 35.6°, I 49, (1 0 3); 2θ = 52.1°, I 34, (1 0 5); 2θ = 66.2°, I 27, (2 2 0); 2θ = 24.1°, I 27, (1 0 1); 2θ = 71.6°, I 20, (2 1 5)

Atomic structure:
Cell lengths 3.9935, 3.9935, 9.7671 Å; angles 90.00, 90.00, 90.00 degrees
Space group I4/mmm (No. 139)
Unique sites:
Ca 0.0000 0.0000 0.0000 [2 per cell]
Mn 0.0000 0.5000 0.2500 [4 per cell]
Co 0.0000 0.0000 0.3842 [4 per cell]